# Zr3Ti2Ga3
Computed powder XRD pattern, a wavelength of 1.5418 Å. Input: a crystal structure in the Materials Project, relaxed with PBE.
Intensities are scaled so that the largest is 100.

Principal peaks in the range 2θ from 10° to 90°, in order of rising 2θ:
d (Å)	I (rel.)
3.981	8
2.749	25
2.606	21
2.355	100
2.298	21
2.262	39
1.806	10
1.520	9
1.499	23
1.460	10
1.290	8
1.233	11

Crystal structure
Lattice parameters (Å, degrees): 7.9615 7.9615 5.4976 90.00 90.00 120.00
Space group P6_3/mcm (No. 193)
Asymmetric unit:
Zr: 0.0000 0.2428 0.2500 x6
Ti: 0.3333 0.6667 0.0000 x4
Ga: 0.0000 0.4015 0.7500 x6